1.
Theoretical PXRD pattern
Compound: Ho2Mn2Fe15
Radiation: λ = 1.5418 Å (Cu Kα)
Structure: a GGA-PBE-relaxed structure
Intensities are scaled so that the largest is 100.

Largest 10 diffraction maxima, in order of rising 2θ, 10 to 80 degrees two-theta:
d = 2.911 Å, intensity 40.7, (1 1 3); d = 2.387 Å, intensity 41.0, (3 0 0); d = 2.333 Å, intensity 21.8, (0 2 4); d = 2.067 Å, intensity 52.8, (2 2 0); d = 2.063 Å, intensity 100.0, (3 0 3); d = 2.050 Å, intensity 29.0, (0 0 6); d = 2.030 Å, intensity 22.0, (2 1 4); d = 1.846 Å, intensity 15.0, (2 2 3); d = 1.455 Å, intensity 14.9, (2 2 6); d = 1.306 Å, intensity 17.3, (3 3 3)

abc: 8.2692 8.2692 12.2970
angles: 90.00 90.00 120.00
Space group R-3m (No. 166, hexagonal axes)
One atom of each set of equivalent atoms:
Ho: 0.0000 0.0000 0.1546 x6
Mn: 0.0000 0.0000 0.4093 x6
Fe: 0.0000 0.3019 0.5000 x18
Fe: 0.0000 0.5000 0.0000 x9
Fe: 0.0052 0.5026 0.3403 x18

***

2.
Theoretical PXRD pattern
Compound: HoFe10Mo2N
Radiation: λ = 1.5418 Å (Cu Kα)
Structure: a GGA-PBE-relaxed structure
Intensities are scaled so that the largest is 100.

Largest 10 diffraction maxima, in order of rising 2θ, 10 to 80 degrees two-theta:
d = 2.470 Å, intensity 43.7, (1 0 3); d = 2.456 Å, intensity 41.1, (1 3 0); d = 2.374 Å, intensity 30.1, (2 0 0); d = 2.169 Å, intensity 47.2, (0 0 4); d = 2.153 Å, intensity 29.1, (0 4 0); d = 2.142 Å, intensity 54.6, (1 2 3); d = 2.137 Å, intensity 81.9, (1 3 2); d = 2.081 Å, intensity 100.0, (2 0 2); d = 1.875 Å, intensity 27.5, (2 2 2); d = 1.320 Å, intensity 27.2, (3 3 2)

abc: 4.747 8.610 8.676
angles: 90.00 90.00 90.00
Space group Immm (No. 71)
One atom of each set of equivalent atoms:
Ho: 0.000 0.000 0.000 x2
Fe: 0.000 0.000 0.360 x4
Fe: 0.000 0.278 0.500 x4
Fe: 0.000 0.500 0.280 x4
Fe: 0.250 0.250 0.250 x8
Mo: 0.000 0.358 0.000 x4
N: 0.000 0.500 0.500 x2

***

3.
Theoretical PXRD pattern
Compound: HoPu2FeN4
Radiation: λ = 1.5418 Å (Cu Kα)
Structure: a GGA-PBE-relaxed structure
Intensities are scaled so that the largest is 100.

Largest 10 diffraction maxima, in order of rising 2θ, 10 to 80 degrees two-theta:
d = 3.143 Å, intensity 71.8, (0 2 3); d = 2.808 Å, intensity 100.0, (0 4 0); d = 2.446 Å, intensity 21.4, (1 3 1); d = 2.293 Å, intensity 44.4, (1 3 2); d = 1.860 Å, intensity 21.7, (1 1 5); d = 1.776 Å, intensity 16.0, (1 5 2); d = 1.685 Å, intensity 30.8, (2 0 0); d = 1.677 Å, intensity 27.9, (0 6 3); d = 1.485 Å, intensity 16.8, (2 2 3); d = 1.445 Å, intensity 21.2, (2 4 0)

abc: 3.371 11.229 11.377
angles: 90.00 90.00 90.00
Space group Cmcm (No. 63)
One atom of each set of equivalent atoms:
Ho: 0.000 0.106 0.250 x4
Pu: 0.000 0.369 0.057 x8
Fe: 0.000 0.158 0.750 x4
N: 0.000 0.000 0.000 x4
N: 0.000 0.270 0.617 x8
N: 0.000 0.454 0.250 x4